# Pm3ZnRu3
Simulated X-ray powder pattern, a wavelength of 1.5418 Å. Input: a cell relaxed with PBE.
Neutral-atom scattering factors, no anomalous dispersion.

Main lines, low angle first (10° ≤ 2θ ≤ 90°):
| two_theta | I (rel.) |
| --- | --- |
| 29.8 | 61 |
| 32.9 | 88 |
| 34.7 | 91 |
| 38.7 | 100 |
| 40.0 | 52 |
| 41.2 | 64 |

Cell and atoms:
Cell: 5.664 5.664 13.443 Å, 90.00 90.00 134.51°
Fractional positions:
Pm (0.004, 0.996, 0.750)
Pm (0.294, 0.706, 0.604)
Pm (0.294, 0.706, 0.896)
Pm (0.706, 0.294, 0.104)
Pm (0.706, 0.294, 0.396)
Pm (0.996, 0.004, 0.250)
Zn (0.000, 0.000, 0.000)
Zn (0.000, 0.000, 0.500)
Ru (0.292, 0.708, 0.250)
Ru (0.419, 0.581, 0.093)
Ru (0.419, 0.581, 0.407)
Ru (0.581, 0.419, 0.593)
Ru (0.581, 0.419, 0.907)
Ru (0.708, 0.292, 0.750)